No. 1
Theoretical powder diffractogram
Compound: Zr8Ni21
Radiation: Cu Ka
Structure: a cell relaxed with GGA-PBE

Largest 6 diffraction maxima, in order of rising 2θ, 10 to 80 degrees two-theta:
- hkl 1 3 -1, 2.212 Å, 40.80°, rel. 41
- hkl -1 3 1, 2.149 Å, 42.04°, rel. 42
- hkl 2 3 0, 2.135 Å, 42.34°, rel. 19
- hkl 2 3 3, 2.094 Å, 43.20°, rel. 39
- hkl 1 0 4, 2.077 Å, 43.59°, rel. 46
- hkl 3 0 2, 2.052 Å, 44.14°, rel. 100

Structural model:
Cell: 6.463 8.101 8.580 Å, 75.48 68.02 75.39°
Space group P-1 (No. 2)
One atom of each set of equivalent atoms:
Zr  0.067  0.036  0.248 [2 per cell]
Zr  0.251  0.563  0.967 [2 per cell]
Zr  0.254  0.441  0.393 [2 per cell]
Zr  0.430  0.095  0.685 [2 per cell]
Ni  0.015  0.620  0.754 [2 per cell]
Ni  0.016  0.294  0.726 [2 per cell]
Ni  0.183  0.254  0.953 [2 per cell]
Ni  0.183  0.900  0.965 [2 per cell]
Ni  0.197  0.755  0.458 [2 per cell]
Ni  0.214  0.117  0.469 [2 per cell]
Ni  0.363  0.787  0.658 [2 per cell]
Ni  0.380  0.444  0.653 [2 per cell]
Ni  0.401  0.720  0.154 [2 per cell]
Ni  0.403  0.241  0.153 [2 per cell]
Ni  0.500  0.000  0.000 [1 per cell]


No. 2
Theoretical powder diffractogram
Compound: PrNd6Sm6
Radiation: Cu Ka
Structure: a cell relaxed with GGA-PBE

Largest 6 diffraction maxima, in order of rising 2θ, 10 to 80 degrees two-theta:
- hkl 1 1 0, 3.384 Å, 26.34°, rel. 26
- hkl 2 0 0, 2.928 Å, 30.53°, rel. 100
- hkl 0 0 4, 2.915 Å, 30.67°, rel. 22
- hkl 2 0 2, 2.619 Å, 34.24°, rel. 66
- hkl 1 0 4, 2.610 Å, 34.35°, rel. 25
- hkl 2 2 0, 1.692 Å, 54.21°, rel. 25

Structural model:
Cell: 6.7681 6.7681 11.6620 Å, 90.00 90.00 120.00°
Space group P6/mmm (No. 191)
One atom of each set of equivalent atoms:
Pr  0.0000  0.0000  0.0000 [1 per cell]
Nd  0.0000  0.0000  0.3527 [2 per cell]
Nd  0.3333  0.6667  0.0000 [2 per cell]
Nd  0.3333  0.6667  0.5000 [2 per cell]
Sm  0.0000  0.5000  0.2501 [6 per cell]